(1)
For Te3Mo3P, a crystal structure in Alexandria, relaxed with PBE gives the theoretical XRD peak list in this record (CuKα).
Intensities are scaled so that the largest is 100.

Principal peaks in the range 2θ from 15° to 90°, low angle first:
two_theta  I/Imax  index
22.35  30  1 0 1
27.04  71  1 1 1
28.34  58  2 1 0
34.70  71  2 1 1
38.98  28  3 1 0
39.81  49  0 0 2
42.56  73  2 2 1
44.00  100  3 1 1
62.03  27  1 5 0
76.28  29  1 5 2

Structural model:
abc: 9.620 9.620 4.528
angles: 90.00 90.00 120.00
Fractional positions:
Te1 0.070 0.376 0.250
Te2 0.306 0.930 0.250
Te3 0.376 0.306 0.750
Te4 0.624 0.694 0.250
Te5 0.694 0.070 0.750
Te6 0.930 0.624 0.750
Mo1 0.024 0.172 0.750
Mo2 0.149 0.976 0.750
Mo3 0.172 0.149 0.250
Mo4 0.828 0.851 0.750
Mo5 0.851 0.024 0.250
Mo6 0.976 0.828 0.250
P1 0.333 0.667 0.250
P2 0.667 0.333 0.750

***

(2)
For TiMoP, a crystal structure in Alexandria, relaxed with PBE gives the theoretical XRD peak list in this record (CuKα).
Intensities are scaled so that the largest is 100.

Principal peaks in the range 2θ from 15° to 90°, low angle first:
two_theta  I/Imax  index
33.41  24  4 0 1
38.00  100  3 1 1
38.80  30  1 1 2
40.84  48  4 0 2
41.13  40  4 1 0
43.36  23  4 1 1
46.60  37  6 0 0
49.54  32  4 1 2
55.30  22  0 2 0
76.59  22  7 1 3

Structural model:
abc: 11.689 3.322 6.754
angles: 90.00 90.00 90.00
Fractional positions:
Ti1 0.050 0.000 0.211
Ti2 0.250 0.000 0.819
Ti3 0.450 0.000 0.211
Ti4 0.550 0.000 0.789
Ti5 0.750 0.000 0.181
Ti6 0.950 0.000 0.789
Mo1 0.114 0.500 0.555
Mo2 0.250 0.500 0.172
Mo3 0.386 0.500 0.555
Mo4 0.614 0.500 0.445
Mo5 0.750 0.500 0.828
Mo6 0.886 0.500 0.445
P1 0.098 0.500 0.919
P2 0.250 0.000 0.433
P3 0.402 0.500 0.919
P4 0.598 0.500 0.081
P5 0.750 0.000 0.567
P6 0.902 0.500 0.081

***

(3)
For UMo13P9, a crystal structure in Alexandria, relaxed with PBE gives the theoretical XRD peak list in this record (CuKα).
Intensities are scaled so that the largest is 100.

Principal peaks in the range 2θ from 15° to 90°, low angle first:
two_theta  I/Imax  index
28.56  20  1 0 1
34.29  33  3 1 0
37.05  39  2 1 1
38.18  35  4 0 0
39.52  100  3 0 1
41.76  18  3 2 0
44.12  24  3 1 1
50.29  23  3 3 0
66.60  18  4 3 1
76.30  20  7 0 1

Structural model:
abc: 10.888 10.888 3.313
angles: 90.00 90.00 120.00
Fractional positions:
U1 0.000 0.000 0.000
Mo1 0.054 0.383 0.000
Mo2 0.054 0.671 0.000
Mo3 0.281 0.141 0.500
Mo4 0.329 0.383 0.000
Mo5 0.329 0.946 0.000
Mo6 0.333 0.667 0.000
Mo7 0.574 0.148 0.500
Mo8 0.574 0.426 0.500
Mo9 0.617 0.671 0.000
Mo10 0.617 0.946 0.000
Mo11 0.852 0.426 0.500
Mo12 0.859 0.141 0.500
Mo13 0.859 0.719 0.500
P1 0.127 0.255 0.500
P2 0.127 0.873 0.500
P3 0.140 0.570 0.500
P4 0.430 0.570 0.500
P5 0.430 0.860 0.500
P6 0.465 0.233 0.000
P7 0.745 0.873 0.500
P8 0.767 0.233 0.000
P9 0.767 0.535 0.000